Entry 1:
For Tb3Y8Tm4, a cell relaxed with PBE gives the calculated X-ray powder pattern in this record (Cu Kα).
Intensities are scaled so that the largest is 100.

Most intense lines, 2θ from 10° to 80°, in order of rising 2θ:
2θ = 25.71°, I = 24.2
2θ = 26.83°, I = 37.3
2θ = 29.92°, I = 58.9
2θ = 30.53°, I = 68.3
2θ = 31.50°, I = 100.0
2θ = 34.61°, I = 25.1
2θ = 36.25°, I = 73.4
2θ = 51.57°, I = 22.2
2θ = 52.83°, I = 44.3
2θ = 62.26°, I = 52.8

Atomic structure:
Lattice parameters (Å, degrees): 6.9313 6.9313 35.1350 90.00 90.00 120.00
Space group R-3m (No. 166, hexagonal axes)
Unique sites:
Tb 0.0000 0.5000 0.0000
Y 0.0000 0.0000 0.2547
Y 0.0008 0.5004 0.2496
Tm 0.0000 0.0000 0.0000
Tm 0.0000 0.0000 0.1642
Tm 0.0000 0.0000 0.5000

Entry 2:
For Na2As2PbO7, a cell relaxed with PBE gives the calculated X-ray powder pattern in this record (Cu Kα).
Intensities are scaled so that the largest is 100.

Most intense lines, 2θ from 10° to 80°, in order of rising 2θ:
2θ = 11.58°, I = 44.7
2θ = 19.28°, I = 100.0
2θ = 23.54°, I = 30.3
2θ = 26.30°, I = 77.0
2θ = 30.81°, I = 65.1
2θ = 32.62°, I = 36.0
2θ = 47.51°, I = 32.2
2θ = 52.10°, I = 20.1
2θ = 54.78°, I = 19.5
2θ = 57.76°, I = 19.3

Atomic structure:
Lattice parameters (Å, degrees): 5.8045 5.8045 22.9331 90.00 90.00 120.00
Space group R32 (No. 155, hexagonal axes)
Unique sites:
Na 0.0000 0.0000 0.2357
As 0.0000 0.0000 0.4222
Pb 0.0000 0.0000 0.0000
O 0.0000 0.0000 0.5000
O 0.0207 0.2939 0.5965

Entry 3:
For Be2TlCo, a cell relaxed with PBE gives the calculated X-ray powder pattern in this record (Cu Kα).
Intensities are scaled so that the largest is 100.

Most intense lines, 2θ from 10° to 80°, in order of rising 2θ:
2θ = 19.64°, I = 28.5
2θ = 28.45°, I = 100.0
2θ = 30.70°, I = 40.7
2θ = 38.53°, I = 45.2
2θ = 39.88°, I = 16.5
2θ = 43.60°, I = 43.2
2θ = 48.93°, I = 34.0
2θ = 53.21°, I = 14.2
2θ = 57.57°, I = 14.1
2θ = 64.89°, I = 23.5

Atomic structure:
Lattice parameters (Å, degrees): 3.7232 3.7232 13.5628 90.00 90.00 120.00
Space group R3m (No. 160, hexagonal axes)
Unique sites:
Be 0.0000 0.0000 0.0000
Be 0.0000 0.0000 0.3171
Tl 0.0000 0.0000 0.5032
Co 0.0000 0.0000 0.6979